The following is a theoretical powder diffractogram of Na5In6Sn. It was derived from a crystal structure in Alexandria, relaxed with PBE, using Cu Kα X-rays.
Peak positions follow from Bragg's law for the DFT cell and can differ from measured ones.

The 10 most intense peaks (5° ≤ 2θ ≤ 70°), by angle:
hkl 0 1 0, 2θ = 10.94°, rel. 16
hkl 0 1 -1, 2θ = 18.10°, rel. 50
hkl -1 1 1, 2θ = 26.95°, rel. 19
hkl 1 2 2, 2θ = 27.06°, rel. 19
hkl 1 -2 0, 2θ = 32.63°, rel. 51
hkl 1 1 3, 2θ = 32.68°, rel. 100
hkl 1 3 1, 2θ = 32.81°, rel. 49
hkl 0 2 -2, 2θ = 36.66°, rel. 36
hkl 0 3 3, 2θ = 37.72°, rel. 34
hkl 2 1 1, 2θ = 39.39°, rel. 30

```
data_Na5In6Sn
_chemical_formula_sum 'Na5 In6 Sn1'
_space_group_name_H-M_alt 'P -1'
_space_group_IT_number 2
_cell_length_a 4.5750
_cell_length_b 8.9500
_cell_length_c 8.9743
_cell_angle_alpha 66.32
_cell_angle_beta 75.29
_cell_angle_gamma 75.51
loop_
_space_group_symop_operation_xyz
'x,y,z'
'-x,-y,-z'
loop_
_atom_site_label
_atom_site_type_symbol
_atom_site_fract_x
_atom_site_fract_y
_atom_site_fract_z
_atom_site_occupancy
Na1 Na 0.0000 0.0000 0.0000 1
Na2 Na 0.3344 0.1657 0.1662 1
Na3 Na 0.3359 0.6651 0.6652 1
In1 In 0.1640 0.0852 0.5837 1
In2 In 0.1636 0.5858 0.0836 1
In3 In 0.5004 0.2574 0.7431 1
Sn1 Sn 0.0000 0.5000 0.5000 1
```

The following is a theoretical powder diffractogram of Ac3Ce2Tl6. It was derived from a crystal structure in Alexandria, relaxed with PBE, using Cu Kα X-rays.
Peak positions follow from Bragg's law for the DFT cell and can differ from measured ones.

The 10 most intense peaks (5° ≤ 2θ ≤ 70°), by angle:
hkl 1 1 4, 2θ = 27.85°, rel. 100
hkl 0 0 10, 2θ = 30.99°, rel. 21
hkl 1 1 6, 2θ = 31.17°, rel. 63
hkl 1 0 9, 2θ = 33.08°, rel. 24
hkl 1 1 8, 2θ = 35.34°, rel. 71
hkl 2 0 0, 2θ = 35.50°, rel. 88
hkl 2 0 10, 2θ = 47.83°, rel. 26
hkl 2 2 0, 2θ = 51.09°, rel. 35
hkl 3 1 4, 2θ = 59.17°, rel. 25
hkl 3 1 8, 2θ = 63.64°, rel. 35

```
data_Ac3Ce2Tl6
_chemical_formula_sum 'Ac6 Ce4 Tl12'
_space_group_name_H-M_alt 'I 4/m m m'
_space_group_IT_number 139
_space_group_name_Hall '-I 4 2'
_cell_length_a 5.0574
_cell_length_b 5.0574
_cell_length_c 28.8545
_cell_angle_alpha 90.00
_cell_angle_beta 90.00
_cell_angle_gamma 90.00
loop_
_atom_site_label
_atom_site_type_symbol
_atom_site_fract_x
_atom_site_fract_y
_atom_site_fract_z
_atom_site_occupancy
Ac1 Ac 0.0000 0.0000 0.0000 1
Ac2 Ac 0.0000 0.0000 0.1973 1
Ce1 Ce 0.0000 0.0000 0.4549 1
Tl1 Tl 0.0000 0.0000 0.3150 1
Tl2 Tl 0.0000 0.5000 0.1108 1
```

The following is a theoretical powder diffractogram of CdHgW. It was derived from a crystal structure in Alexandria, relaxed with PBE, using Cu Kα X-rays.
Peak positions follow from Bragg's law for the DFT cell and can differ from measured ones.

The 10 most intense peaks (5° ≤ 2θ ≤ 70°), by angle:
hkl 0 0 2, 2θ = 12.64°, rel. 9
hkl 1 0 1, 2θ = 31.83°, rel. 3
hkl 1 0 3, 2θ = 36.76°, rel. 100
hkl 0 0 6, 2θ = 38.58°, rel. 21
hkl 1 1 0, 2θ = 44.65°, rel. 29
hkl 1 0 5, 2θ = 45.24°, rel. 3
hkl 1 1 2, 2θ = 46.59°, rel. 2
hkl 1 1 6, 2θ = 60.45°, rel. 23
hkl 2 0 0, 2θ = 64.98°, rel. 10
hkl 1 0 9, 2θ = 68.62°, rel. 15

```
data_CdHgW
_chemical_formula_sum 'Cd2 Hg2 W2'
_space_group_name_H-M_alt 'I 4 m m'
_space_group_IT_number 107
_space_group_name_Hall 'I 4 -2'
_cell_length_a 2.8703
_cell_length_b 2.8703
_cell_length_c 14.0014
_cell_angle_alpha 90.00
_cell_angle_beta 90.00
_cell_angle_gamma 90.00
loop_
_atom_site_label
_atom_site_type_symbol
_atom_site_fract_x
_atom_site_fract_y
_atom_site_fract_z
_atom_site_occupancy
Cd1 Cd 0.0000 0.0000 0.0000 1
Hg1 Hg 0.0000 0.0000 0.6808 1
W1 W 0.0000 0.0000 0.3419 1
```

The following is a theoretical powder diffractogram of Y4Tm3Pd4. It was derived from a crystal structure in Alexandria, relaxed with PBE, using Cu Kα X-rays.
Peak positions follow from Bragg's law for the DFT cell and can differ from measured ones.

The 10 most intense peaks (5° ≤ 2θ ≤ 70°), by angle:
hkl 0 1 1, 2θ = 11.16°, rel. 17
hkl 0 2 0, 2θ = 19.33°, rel. 16
hkl 0 1 5, 2θ = 29.95°, rel. 18
hkl 1 2 1, 2θ = 31.02°, rel. 72
hkl 0 3 3, 2θ = 33.89°, rel. 48
hkl 1 1 4, 2θ = 34.16°, rel. 100
hkl 0 2 6, 2θ = 39.48°, rel. 35
hkl 2 0 0, 2θ = 47.75°, rel. 20
hkl 2 3 3, 2θ = 59.83°, rel. 18
hkl 1 5 4, 2θ = 60.71°, rel. 23

```
data_Y4Tm3Pd4
_chemical_formula_sum 'Y8 Tm6 Pd8'
_space_group_name_H-M_alt 'I m m m'
_space_group_IT_number 71
_space_group_name_Hall '-I 2 2'
_cell_length_a 3.8098
_cell_length_b 9.1831
_cell_length_c 15.7660
_cell_angle_alpha 90.00
_cell_angle_beta 90.00
_cell_angle_gamma 90.00
loop_
_atom_site_label
_atom_site_type_symbol
_atom_site_fract_x
_atom_site_fract_y
_atom_site_fract_z
_atom_site_occupancy
Y1 Y 0.0000 0.1853 0.1610 1
Tm1 Tm 0.0000 0.0000 0.3931 1
Tm2 Tm 0.0000 0.5000 0.5000 1
Pd1 Pd 0.0000 0.3338 0.0000 1
Pd2 Pd 0.0000 0.5000 0.2492 1
```

The following is a theoretical powder diffractogram of Rb2TbAgBr6. It was derived from a crystal structure in Alexandria, relaxed with PBE, using Cu Kα X-rays.
Peak positions follow from Bragg's law for the DFT cell and can differ from measured ones.

The 10 most intense peaks (5° ≤ 2θ ≤ 70°), by angle:
hkl 1 1 -1, 2θ = 15.69°, rel. 57
hkl 0 0 2, 2θ = 16.02°, rel. 25
hkl 1 1 -3, 2θ = 22.50°, rel. 63
hkl 2 2 -2, 2θ = 31.68°, rel. 100
hkl 0 0 4, 2θ = 32.36°, rel. 58
hkl 1 3 -1, 2θ = 35.10°, rel. 28
hkl 3 1 -1, 2θ = 39.56°, rel. 23
hkl 3 1 -5, 2θ = 39.69°, rel. 28
hkl 2 2 2, 2θ = 45.85°, rel. 27
hkl 2 2 -6, 2θ = 45.98°, rel. 24

```
data_Rb2TbAgBr6
_chemical_formula_sum 'Rb4 Tb2 Ag2 Br12'
_space_group_name_H-M_alt 'P 1 21/c 1'
_space_group_IT_number 14
_cell_length_a 7.8702
_cell_length_b 8.1105
_cell_length_c 13.5559
_cell_angle_alpha 90.00
_cell_angle_beta 125.28
_cell_angle_gamma 90.00
loop_
_space_group_symop_operation_xyz
'x,y,z'
'-x,-y,-z'
'-x,y+1/2,-z+1/2'
'x,-y+1/2,z+1/2'
loop_
_atom_site_label
_atom_site_type_symbol
_atom_site_fract_x
_atom_site_fract_y
_atom_site_fract_z
_atom_site_occupancy
Rb1 Rb 0.2318 0.0612 0.2490 1
Tb1 Tb 0.5000 0.0000 0.0000 1
Ag1 Ag 0.0000 0.0000 0.5000 1
Br1 Br 0.1724 0.1999 0.9607 1
Br2 Br 0.2644 0.7137 0.9625 1
Br3 Br 0.3276 0.0120 0.7507 1
```

The following is a theoretical powder diffractogram of Na2HgCl4. It was derived from a crystal structure in Alexandria, relaxed with PBE, using Cu Kα X-rays.
Peak positions follow from Bragg's law for the DFT cell and can differ from measured ones.

The 10 most intense peaks (5° ≤ 2θ ≤ 70°), by angle:
hkl 1 0 0, 2θ = 10.11°, rel. 34
hkl 1 0 1, 2θ = 13.32°, rel. 100
hkl 1 1 1, 2θ = 16.75°, rel. 92
hkl 1 0 2, 2θ = 20.12°, rel. 44
hkl 2 1 1, 2θ = 24.36°, rel. 67
hkl 1 0 3, 2θ = 28.10°, rel. 37
hkl 2 2 0, 2θ = 28.86°, rel. 79
hkl 3 2 1, 2θ = 38.12°, rel. 34
hkl 4 0 0, 2θ = 41.24°, rel. 57
hkl 2 2 4, 2θ = 46.07°, rel. 53

```
data_Na2HgCl4
_chemical_formula_sum 'Na8 Hg4 Cl16'
_space_group_name_H-M_alt 'P 41 2 2'
_space_group_IT_number 91
_cell_length_a 8.7486
_cell_length_b 8.7486
_cell_length_c 10.2224
_cell_angle_alpha 90.00
_cell_angle_beta 90.00
_cell_angle_gamma 90.00
loop_
_space_group_symop_operation_xyz
'x,y,z'
'-y,x,z+1/4'
'-x,-y,z+1/2'
'y,-x,z+3/4'
'x,-y,-z+1/2'
'-y,-x,-z+1/4'
'-x,y,-z'
'y,x,-z+3/4'
loop_
_atom_site_label
_atom_site_type_symbol
_atom_site_fract_x
_atom_site_fract_y
_atom_site_fract_z
_atom_site_occupancy
Na1 Na 0.0000 0.2405 0.0000 1
Na2 Na 0.2467 0.2467 0.3750 1
Hg1 Hg 0.2148 0.5000 0.7500 1
Cl1 Cl 0.0338 0.2498 0.7331 1
Cl2 Cl 0.2512 0.4754 0.9936 1
```

The following is a theoretical powder diffractogram of TaAgH3. It was derived from a crystal structure in Alexandria, relaxed with PBE, using Cu Kα X-rays.
Peak positions follow from Bragg's law for the DFT cell and can differ from measured ones.

The 6 most intense peaks (5° ≤ 2θ ≤ 70°), by angle:
hkl 1 0 0, 2θ = 24.34°, rel. 6
hkl 1 1 0, 2θ = 34.69°, rel. 100
hkl 1 1 1, 2θ = 42.82°, rel. 2
hkl 2 0 0, 2θ = 49.87°, rel. 18
hkl 2 1 0, 2θ = 56.24°, rel. 3
hkl 2 1 1, 2θ = 62.17°, rel. 36

```
data_TaAgH3
_chemical_formula_sum 'Ta1 Ag1 H3'
_space_group_name_H-M_alt 'P m -3 m'
_space_group_IT_number 221
_space_group_name_Hall '-P 4 2 3'
_cell_length_a 3.6575
_cell_length_b 3.6575
_cell_length_c 3.6575
_cell_angle_alpha 90.00
_cell_angle_beta 90.00
_cell_angle_gamma 90.00
loop_
_atom_site_label
_atom_site_type_symbol
_atom_site_fract_x
_atom_site_fract_y
_atom_site_fract_z
_atom_site_occupancy
Ta1 Ta 0.0000 0.0000 0.0000 1
Ag1 Ag 0.5000 0.5000 0.5000 1
H1 H 0.0000 0.0000 0.5000 1
```

The following is a theoretical powder diffractogram of ErCl5. It was derived from a crystal structure in Alexandria, relaxed with PBE, using Cu Kα X-rays.
Peak positions follow from Bragg's law for the DFT cell and can differ from measured ones.

The 10 most intense peaks (5° ≤ 2θ ≤ 70°), by angle:
hkl 0 0 1, 2θ = 7.72°, rel. 100
hkl 0 0 2, 2θ = 15.48°, rel. 31
hkl 0 1 0, 2θ = 16.90°, rel. 9
hkl 0 1 1, 2θ = 18.61°, rel. 51
hkl 1 0 -1, 2θ = 23.63°, rel. 11
hkl 1 0 1, 2θ = 24.25°, rel. 13
hkl 1 0 -3, 2θ = 32.00°, rel. 15
hkl 1 1 2, 2θ = 32.95°, rel. 9
hkl 0 2 0, 2θ = 34.19°, rel. 12
hkl 0 2 2, 2θ = 37.70°, rel. 12

```
data_ErCl5
_chemical_formula_sum 'Er1 Cl5'
_space_group_name_H-M_alt 'P 1 m 1'
_space_group_IT_number 6
_cell_length_a 3.9330
_cell_length_b 5.2450
_cell_length_c 11.4598
_cell_angle_alpha 90.00
_cell_angle_beta 92.41
_cell_angle_gamma 90.00
loop_
_space_group_symop_operation_xyz
'x,y,z'
'x,-y,z'
loop_
_atom_site_label
_atom_site_type_symbol
_atom_site_fract_x
_atom_site_fract_y
_atom_site_fract_z
_atom_site_occupancy
Er1 Er 0.0000 0.0000 0.0000 1
Cl1 Cl 0.9995 0.5000 0.0001 1
Cl2 Cl 0.4814 0.0000 0.8465 1
Cl3 Cl 0.5060 0.5000 0.5878 1
Cl4 Cl 0.5187 0.0000 0.1535 1
Cl5 Cl 0.5529 0.5000 0.4153 1
```

The following is a theoretical powder diffractogram of ZrZnBr4. It was derived from a crystal structure in Alexandria, relaxed with PBE, using Cu Kα X-rays.
Peak positions follow from Bragg's law for the DFT cell and can differ from measured ones.

The 10 most intense peaks (5° ≤ 2θ ≤ 70°), by angle:
hkl 1 1 1, 2θ = 17.60°, rel. 6
hkl 2 2 0, 2θ = 28.93°, rel. 27
hkl 3 1 1, 2θ = 34.07°, rel. 100
hkl 2 2 2, 2θ = 35.63°, rel. 40
hkl 4 0 0, 2θ = 41.38°, rel. 5
hkl 3 3 1, 2θ = 45.29°, rel. 1
hkl 4 2 2, 2θ = 51.28°, rel. 10
hkl 3 3 3, 2θ = 54.64°, rel. 33
hkl 4 4 0, 2θ = 59.95°, rel. 29
hkl 6 2 0, 2θ = 67.92°, rel. 4

```
data_ZrZnBr4
_chemical_formula_sum 'Zr4 Zn4 Br16'
_space_group_name_H-M_alt 'F -4 3 m'
_space_group_IT_number 216
_space_group_name_Hall 'F -4 2 3'
_cell_length_a 8.7286
_cell_length_b 8.7286
_cell_length_c 8.7286
_cell_angle_alpha 90.00
_cell_angle_beta 90.00
_cell_angle_gamma 90.00
loop_
_atom_site_label
_atom_site_type_symbol
_atom_site_fract_x
_atom_site_fract_y
_atom_site_fract_z
_atom_site_occupancy
Zr1 Zr 0.0000 0.0000 0.0000 1
Zn1 Zn 0.2500 0.2500 0.2500 1
Br1 Br 0.1257 0.1257 0.6257 1
```

The following is a theoretical powder diffractogram of EuErLu. It was derived from a crystal structure in Alexandria, relaxed with PBE, using Cu Kα X-rays.
Peak positions follow from Bragg's law for the DFT cell and can differ from measured ones.

The 10 most intense peaks (5° ≤ 2θ ≤ 70°), by angle:
hkl 0 0 2, 2θ = 11.62°, rel. 2
hkl 1 0 3, 2θ = 30.45°, rel. 100
hkl 1 1 0, 2θ = 35.30°, rel. 50
hkl 1 0 5, 2θ = 38.73°, rel. 2
hkl 1 0 7, 2θ = 48.91°, rel. 1
hkl 2 0 0, 2θ = 50.78°, rel. 35
hkl 2 1 3, 2θ = 60.34°, rel. 29
hkl 1 0 9, 2θ = 60.44°, rel. 12
hkl 0 0 10, 2θ = 60.77°, rel. 1
hkl 2 0 6, 2θ = 63.36°, rel. 12

```
data_EuErLu
_chemical_formula_sum 'Eu2 Er2 Lu2'
_space_group_name_H-M_alt 'I 4 m m'
_space_group_IT_number 107
_space_group_name_Hall 'I 4 -2'
_cell_length_a 3.5983
_cell_length_b 3.5983
_cell_length_c 15.2336
_cell_angle_alpha 90.00
_cell_angle_beta 90.00
_cell_angle_gamma 90.00
loop_
_atom_site_label
_atom_site_type_symbol
_atom_site_fract_x
_atom_site_fract_y
_atom_site_fract_z
_atom_site_occupancy
Eu1 Eu 0.0000 0.0000 0.0000 1
Er1 Er 0.0000 0.0000 0.6763 1
Lu1 Lu 0.0000 0.0000 0.3252 1
```

The following is a theoretical powder diffractogram of Er3ThRu. It was derived from a crystal structure in Alexandria, relaxed with PBE, using Cu Kα X-rays.
Peak positions follow from Bragg's law for the DFT cell and can differ from measured ones.

The 10 most intense peaks (5° ≤ 2θ ≤ 70°), by angle:
hkl 0 0 2, 2θ = 28.66°, rel. 27
hkl 2 2 1, 2θ = 31.06°, rel. 100
hkl 0 4 1, 2θ = 32.03°, rel. 39
hkl 2 2 2, 2θ = 40.11°, rel. 22
hkl 0 4 2, 2θ = 40.89°, rel. 16
hkl 4 0 0, 2θ = 47.88°, rel. 13
hkl 2 6 0, 2θ = 49.89°, rel. 21
hkl 2 2 3, 2θ = 52.29°, rel. 22
hkl 2 6 2, 2θ = 58.55°, rel. 14
hkl 4 4 1, 2θ = 58.77°, rel. 14

```
data_Er3ThRu
_chemical_formula_sum 'Er12 Th4 Ru4'
_space_group_name_H-M_alt 'C m c 21'
_space_group_IT_number 36
_cell_length_a 7.5992
_cell_length_b 12.5109
_cell_length_c 6.2292
_cell_angle_alpha 90.00
_cell_angle_beta 90.00
_cell_angle_gamma 90.00
loop_
_space_group_symop_operation_xyz
'x,y,z'
'-x,-y,z+1/2'
'-x,y,z'
'x,-y,z+1/2'
'x+1/2,y+1/2,z'
'-x+1/2,-y+1/2,z+1/2'
'-x+1/2,y+1/2,z'
'x+1/2,-y+1/2,z+1/2'
loop_
_atom_site_label
_atom_site_type_symbol
_atom_site_fract_x
_atom_site_fract_y
_atom_site_fract_z
_atom_site_occupancy
Er1 Er 0.0000 0.0823 0.0000 1
Er2 Er 0.2499 0.1554 0.5175 1
Th1 Th 0.0000 0.4159 0.5409 1
Ru1 Ru 0.0000 0.2549 0.2767 1
```

The following is a theoretical powder diffractogram of Tb8GaRu2. It was derived from a crystal structure in Alexandria, relaxed with PBE, using Cu Kα X-rays.
Peak positions follow from Bragg's law for the DFT cell and can differ from measured ones.

The 10 most intense peaks (5° ≤ 2θ ≤ 70°), by angle:
hkl 2 0 1, 2θ = 30.08°, rel. 100
hkl 0 4 1, 2θ = 32.25°, rel. 93
hkl 3 1 -1, 2θ = 32.96°, rel. 67
hkl 1 1 -2, 2θ = 33.46°, rel. 46
hkl 2 4 0, 2θ = 34.85°, rel. 58
hkl 0 2 2, 2θ = 36.46°, rel. 30
hkl 3 3 0, 2θ = 38.17°, rel. 40
hkl 1 5 -1, 2θ = 38.86°, rel. 31
hkl 2 4 2, 2θ = 53.02°, rel. 29
hkl 2 8 1, 2θ = 65.43°, rel. 28

```
data_Tb8GaRu2
_chemical_formula_sum 'Tb16 Ga2 Ru4'
_space_group_name_H-M_alt 'C 1 m 1'
_space_group_IT_number 8
_cell_length_a 8.6869
_cell_length_b 13.0108
_cell_length_c 5.4895
_cell_angle_alpha 90.00
_cell_angle_beta 104.06
_cell_angle_gamma 90.00
loop_
_space_group_symop_operation_xyz
'x,y,z'
'x,-y,z'
'x+1/2,y+1/2,z'
'x+1/2,-y+1/2,z'
loop_
_atom_site_label
_atom_site_type_symbol
_atom_site_fract_x
_atom_site_fract_y
_atom_site_fract_z
_atom_site_occupancy
Tb1 Tb 0.0000 0.0000 0.0000 1
Tb2 Tb 0.0741 0.3689 0.7814 1
Tb3 Tb 0.1790 0.1312 0.6105 1
Tb4 Tb 0.2543 0.5000 0.3931 1
Tb5 Tb 0.3762 0.2410 0.1962 1
Ga1 Ga 0.3770 0.0000 0.1982 1
Ru1 Ru 0.3768 0.3117 0.6966 1
```

The following is a theoretical powder diffractogram of Mg4SiP. It was derived from a crystal structure in Alexandria, relaxed with PBE, using Cu Kα X-rays.
Peak positions follow from Bragg's law for the DFT cell and can differ from measured ones.

The 9 most intense peaks (5° ≤ 2θ ≤ 70°), by angle:
hkl 1 1 1, 2θ = 19.56°, rel. 1
hkl 2 2 0, 2θ = 32.21°, rel. 33
hkl 3 1 1, 2θ = 37.96°, rel. 100
hkl 2 2 2, 2θ = 39.72°, rel. 36
hkl 4 0 0, 2θ = 46.19°, rel. 3
hkl 3 3 1, 2θ = 50.61°, rel. 1
hkl 4 2 2, 2θ = 57.43°, rel. 11
hkl 5 1 1, 2θ = 61.27°, rel. 31
hkl 4 4 0, 2θ = 67.39°, rel. 26

```
data_Mg4SiP
_chemical_formula_sum 'Mg16 Si4 P4'
_space_group_name_H-M_alt 'F -4 3 m'
_space_group_IT_number 216
_space_group_name_Hall 'F -4 2 3'
_cell_length_a 7.8612
_cell_length_b 7.8612
_cell_length_c 7.8612
_cell_angle_alpha 90.00
_cell_angle_beta 90.00
_cell_angle_gamma 90.00
loop_
_atom_site_label
_atom_site_type_symbol
_atom_site_fract_x
_atom_site_fract_y
_atom_site_fract_z
_atom_site_occupancy
Mg1 Mg 0.1250 0.1250 0.1250 1
Si1 Si 0.0000 0.0000 0.5000 1
P1 P 0.2500 0.2500 0.7500 1
```

The following is a theoretical powder diffractogram of PrYTe2. It was derived from a crystal structure in Alexandria, relaxed with PBE, using Cu Kα X-rays.
Peak positions follow from Bragg's law for the DFT cell and can differ from measured ones.

The 8 most intense peaks (5° ≤ 2θ ≤ 70°), by angle:
hkl 1 1 1, 2θ = 19.96°, rel. 2
hkl 2 2 0, 2θ = 32.88°, rel. 100
hkl 3 1 1, 2θ = 38.77°, rel. 1
hkl 4 0 0, 2θ = 47.19°, rel. 18
hkl 3 3 1, 2θ = 51.72°, rel. 1
hkl 4 2 2, 2θ = 58.72°, rel. 37
hkl 5 1 1, 2θ = 62.66°, rel. 1
hkl 4 4 0, 2θ = 68.96°, rel. 11

```
data_PrYTe2
_chemical_formula_sum 'Pr4 Y4 Te8'
_space_group_name_H-M_alt 'F m -3 m'
_space_group_IT_number 225
_space_group_name_Hall '-F 4 2 3'
_cell_length_a 7.7035
_cell_length_b 7.7035
_cell_length_c 7.7035
_cell_angle_alpha 90.00
_cell_angle_beta 90.00
_cell_angle_gamma 90.00
loop_
_atom_site_label
_atom_site_type_symbol
_atom_site_fract_x
_atom_site_fract_y
_atom_site_fract_z
_atom_site_occupancy
Pr1 Pr 0.0000 0.0000 0.0000 1
Y1 Y 0.0000 0.0000 0.5000 1
Te1 Te 0.2500 0.2500 0.2500 1
```